(1)
# Th4GePb2Se
Computed powder diffractogram, Cu Kα (λ = 1.5418 Å). Input: DFT lattice parameters and positions (PBE).

abc: 7.621 4.432 7.706
angles: 90.00 109.48 90.00
Space group P2/m (No. 10)
One atom of each set of equivalent atoms:
Th 0.238 0.000 0.229 (multiplicity 2)
Th 0.252 0.500 0.770 (multiplicity 2)
Ge 0.000 0.500 0.000 (multiplicity 1)
Pb 0.000 0.000 0.500 (multiplicity 1)
Pb 0.500 0.500 0.500 (multiplicity 1)
Se 0.500 0.000 0.000 (multiplicity 1)

Most intense lines, 10° ≤ 2θ ≤ 90°, low angle first:
two_theta, d (Å), Rel. int., index
28.5, 3.130, 100, 1 1 1
40.6, 2.222, 25, 1 1 -3
40.8, 2.214, 26, 0 2 0
41.0, 2.204, 26, 3 1 -1
50.5, 1.808, 14, 2 2 -2
50.8, 1.796, 7, 4 0 0
59.0, 1.565, 13, 2 2 2
66.6, 1.404, 11, 0 2 4
67.1, 1.395, 12, 4 2 0
74.2, 1.278, 9, 3 3 -1


(2)
# NaPuNpCl6
Computed powder diffractogram, Cu Kα (λ = 1.5418 Å). Input: DFT lattice parameters and positions (PBE).

abc: 7.2163 7.2163 12.3430
angles: 90.00 90.00 120.00
Space group P-31c (No. 163)
One atom of each set of equivalent atoms:
Na 0.0000 0.0000 0.0000 (multiplicity 2)
Pu 0.3333 0.6667 0.2500 (multiplicity 2)
Np 0.3333 0.6667 0.7500 (multiplicity 2)
Cl 0.0028 0.3436 0.6293 (multiplicity 12)

Most intense lines, 10° ≤ 2θ ≤ 90°, low angle first:
two_theta, d (Å), Rel. int., index
14.2, 6.250, 48, 1 0 0
14.4, 6.172, 70, 0 0 2
20.2, 4.391, 63, 1 0 2
24.7, 3.608, 42, 1 1 0
28.7, 3.116, 100, 1 1 2
38.4, 2.345, 67, 1 1 4
40.9, 2.206, 21, 2 1 2
43.4, 2.083, 32, 3 0 0
46.0, 1.974, 24, 3 0 2
52.9, 1.732, 21, 4 -2 2